Entry 1:
This entry pairs a crystal structure of RbNaTl6 with its computed X-ray powder pattern. Radiation: Cu Ka. Structure: a cell relaxed with PBE.

Structure:
```
RbNaTl6
1.0
5.324 0.000 0.000
0.000 4.215 5.893
0.000 -4.215 5.893
Rb Na Tl
1 1 6
Direct
0.000 0.000 0.000 Rb
0.500 0.736 0.736 Na
0.000 0.057 0.490 Tl
0.000 0.490 0.057 Tl
0.000 0.541 0.541 Tl
0.500 0.223 0.223 Tl
0.500 0.269 0.687 Tl
0.500 0.687 0.269 Tl
```

Most intense lines, 2θ = 15–90°, low angle first:
| 2θ/deg | I/Imax |
| --- | --- |
| 25.0 | 9 |
| 26.0 | 8 |
| 30.3 | 22 |
| 31.0 | 100 |
| 33.7 | 26 |
| 34.8 | 15 |
| 37.0 | 15 |
| 43.1 | 11 |
| 45.9 | 14 |
| 58.6 | 20 |
| 62.4 | 9 |
| 62.8 | 9 |



Entry 2:
This entry pairs a crystal structure of MgFeCo with its computed X-ray powder pattern. Radiation: Cu Ka. Structure: a cell relaxed with PBE.

Structure:
```
MgFeCo
1.0
-2.441 2.450 3.440
2.441 -2.450 3.440
2.441 2.450 -3.440
Mg Fe Co
2 2 2
Direct
0.377 0.127 0.250 Mg
0.623 0.873 0.750 Mg
0.000 0.000 0.500 Fe
0.000 0.500 0.000 Fe
0.000 0.500 0.500 Co
0.500 0.500 0.000 Co
```

Most intense lines, 2θ = 15–90°, low angle first:
| 2θ/deg | I/Imax |
| --- | --- |
| 22.3 | 100 |
| 36.8 | 13 |
| 43.4 | 58 |
| 43.5 | 54 |
| 43.6 | 56 |
| 45.4 | 58 |
| 45.6 | 56 |
| 53.0 | 22 |
| 58.3 | 16 |
| 70.8 | 17 |
| 70.9 | 12 |
| 78.4 | 37 |